This entry pairs a crystal structure of LiVF6 with its computed X-ray powder pattern. Radiation: Cu Ka. Structure: a crystal structure in Alexandria, relaxed with GGA+U.

Cell and atoms:
```
data_LiVF6
_chemical_formula_sum 'Li2 V2 F12'
_symmetry_space_group_name_H-M 'P 1'
_symmetry_Int_Tables_number 1
_cell_length_a 5.344
_cell_length_b 8.956
_cell_length_c 5.365
_cell_angle_alpha 90.00
_cell_angle_beta 119.42
_cell_angle_gamma 90.00
loop_
_symmetry_equiv_pos_as_xyz
'x,y,z'
loop_
_atom_site_label
_atom_site_fract_x
_atom_site_fract_y
_atom_site_fract_z
Li1 0.137 0.000 0.068
Li2 0.863 0.500 0.932
V1 0.204 0.716 0.598
V2 0.796 0.216 0.402
F1 0.137 0.577 0.807
F2 0.143 0.578 0.325
F3 0.166 0.262 0.587
F4 0.273 0.856 0.872
F5 0.280 0.856 0.398
F6 0.416 0.162 0.211
F7 0.584 0.662 0.789
F8 0.720 0.356 0.602
F9 0.727 0.356 0.128
F10 0.834 0.762 0.413
F11 0.857 0.078 0.675
F12 0.863 0.077 0.193
```

The 12 most intense peaks (2θ from 10° to 90°), in order of rising 2θ:
19.01°, I 40; 19.20°, I 26; 19.83°, I 40; 21.50°, I 100; 21.63°, I 30; 27.59°, I 30; 27.73°, I 26; 38.68°, I 12; 39.15°, I 26; 49.54°, I 12; 49.89°, I 13; 53.30°, I 22

This entry pairs a crystal structure of Li2VF4 with its computed X-ray powder pattern. Radiation: Cu Ka. Structure: a crystal structure in Alexandria, relaxed with GGA+U.

Cell and atoms:
```
data_Li2VF4
_chemical_formula_sum 'Li8 V4 F16'
_symmetry_space_group_name_H-M 'P 1'
_symmetry_Int_Tables_number 1
_cell_length_a 6.082
_cell_length_b 6.082
_cell_length_c 8.587
_cell_angle_alpha 90.00
_cell_angle_beta 90.00
_cell_angle_gamma 90.00
loop_
_symmetry_equiv_pos_as_xyz
'x,y,z'
loop_
_atom_site_label
_atom_site_fract_x
_atom_site_fract_y
_atom_site_fract_z
Li1 0.000 0.217 0.000
Li2 0.000 0.783 0.500
Li3 0.217 0.000 0.750
Li4 0.248 0.248 0.375
Li5 0.248 0.752 0.125
Li6 0.752 0.248 0.625
Li7 0.752 0.752 0.875
Li8 0.783 0.000 0.250
V1 0.233 0.500 0.750
V2 0.500 0.233 0.000
V3 0.500 0.767 0.500
V4 0.767 0.500 0.250
F1 0.002 0.246 0.761
F2 0.002 0.754 0.739
F3 0.246 0.002 0.989
F4 0.246 0.998 0.511
F5 0.248 0.479 0.996
F6 0.248 0.521 0.504
F7 0.479 0.248 0.754
F8 0.479 0.752 0.746
F9 0.521 0.248 0.246
F10 0.521 0.752 0.254
F11 0.752 0.479 0.004
F12 0.752 0.521 0.496
F13 0.754 0.002 0.011
F14 0.754 0.998 0.489
F15 0.998 0.246 0.239
F16 0.998 0.754 0.261
```

The 12 most intense peaks (2θ from 10° to 90°), in order of rising 2θ:
14.56°, I 23; 17.87°, I 71; 23.13°, I 42; 25.39°, I 22; 32.93°, I 12; 34.60°, I 41; 37.75°, I 15; 42.04°, I 100; 55.55°, I 18; 60.97°, I 61; 64.09°, I 10; 76.82°, I 14

This entry pairs a crystal structure of Li2VZnF8 with its computed X-ray powder pattern. Radiation: Cu Ka. Structure: a crystal structure in Alexandria, relaxed with GGA+U.

Cell and atoms:
```
data_Li2VZnF8
_chemical_formula_sum 'Li2 V1 Zn1 F8'
_symmetry_space_group_name_H-M 'P 1'
_symmetry_Int_Tables_number 1
_cell_length_a 4.662
_cell_length_b 4.662
_cell_length_c 6.385
_cell_angle_alpha 90.00
_cell_angle_beta 90.00
_cell_angle_gamma 91.92
loop_
_symmetry_equiv_pos_as_xyz
'x,y,z'
loop_
_atom_site_label
_atom_site_fract_x
_atom_site_fract_y
_atom_site_fract_z
Li1 0.000 0.000 0.227
Li2 0.000 0.000 0.773
V1 0.500 0.500 0.500
Zn1 0.500 0.500 0.000
F1 0.205 0.205 0.000
F2 0.217 0.217 0.500
F3 0.307 0.693 0.279
F4 0.307 0.693 0.721
F5 0.693 0.307 0.279
F6 0.693 0.307 0.721
F7 0.783 0.783 0.500
F8 0.795 0.795 0.000
```

The 12 most intense peaks (2θ from 10° to 90°), in order of rising 2θ:
19.05°, I 100; 26.60°, I 35; 27.52°, I 28; 27.95°, I 18; 34.04°, I 24; 38.96°, I 64; 44.03°, I 26; 48.36°, I 11; 51.90°, I 27; 52.96°, I 20; 67.00°, I 20; 71.04°, I 12

This entry pairs a crystal structure of Li2WF8 with its computed X-ray powder pattern. Radiation: Cu Ka. Structure: a crystal structure in Alexandria, relaxed with GGA+U.

Cell and atoms:
```
data_Li2WF8
_chemical_formula_sum 'Li2 W1 F8'
_symmetry_space_group_name_H-M 'P 1'
_symmetry_Int_Tables_number 1
_cell_length_a 6.409
_cell_length_b 6.409
_cell_length_c 4.108
_cell_angle_alpha 90.00
_cell_angle_beta 90.00
_cell_angle_gamma 120.00
loop_
_symmetry_equiv_pos_as_xyz
'x,y,z'
loop_
_atom_site_label
_atom_site_fract_x
_atom_site_fract_y
_atom_site_fract_z
Li1 0.333 0.667 0.213
Li2 0.667 0.333 0.787
W1 0.000 0.000 0.500
F1 0.141 0.281 0.247
F2 0.141 0.859 0.247
F3 0.281 0.141 0.753
F4 0.333 0.667 0.724
F5 0.667 0.333 0.276
F6 0.719 0.859 0.247
F7 0.859 0.141 0.753
F8 0.859 0.719 0.753
```

The 12 most intense peaks (2θ from 10° to 90°), in order of rising 2θ:
15.97°, I 100; 21.63°, I 14; 27.00°, I 46; 27.84°, I 27; 35.53°, I 25; 39.17°, I 25; 47.18°, I 9; 48.74°, I 19; 54.39°, I 8; 55.67°, I 12; 63.37°, I 13; 64.66°, I 8